1.
Structure and simulated powder X-ray diffraction pattern of Mn4O7F (a structure optimized by DFT (GGA+U); Cu Kα (weighted mean of Kα1 and Kα2)).

Crystal structure
abc: 8.914 10.964 4.957
angles: 90.00 90.39 90.00
Space group Cc (No. 9)
Asymmetric unit:
Mn: 0.000 0.068 0.000 (multiplicity 4)
Mn: 0.241 0.323 0.964 (multiplicity 4)
Mn: 0.246 0.167 0.482 (multiplicity 4)
Mn: 0.499 0.072 0.973 (multiplicity 4)
O: 0.112 0.052 0.674 (multiplicity 4)
O: 0.116 0.445 0.144 (multiplicity 4)
O: 0.132 0.194 0.152 (multiplicity 4)
O: 0.132 0.306 0.643 (multiplicity 4)
O: 0.365 0.196 0.804 (multiplicity 4)
O: 0.380 0.445 0.819 (multiplicity 4)
O: 0.384 0.054 0.299 (multiplicity 4)
F: 0.369 0.312 0.301 (multiplicity 4)

Peak list (12 most intense, 2θ = 5–70°, by angle)
h k l  2theta  I/Imax
2 2 0  25.76  100
2 2 -1  31.46  89
2 2 1  31.63  80
0 0 2  36.25  20
0 4 1  37.49  39
2 4 1  42.87  16
2 6 0  54.25  24
4 0 -2  55.24  21
4 0 2  55.65  20
4 4 -1  56.25  33
4 4 1  56.46  33
0 4 3  66.02  28

2.
Structure and simulated powder X-ray diffraction pattern of Li2VCrP2H2O10 (a structure optimized by DFT (GGA+U); Cu Kα (weighted mean of Kα1 and Kα2)).

Crystal structure
abc: 6.949 7.381 7.974
angles: 91.03 92.71 117.22
Space group P-1 (No. 2)
Asymmetric unit:
Li: 0.071 0.323 0.175 (multiplicity 2)
Li: 0.427 0.678 0.326 (multiplicity 2)
V: 0.000 0.000 0.500 (multiplicity 1)
V: 0.500 0.500 0.000 (multiplicity 1)
Cr: 0.000 0.500 0.500 (multiplicity 1)
Cr: 0.500 0.000 0.000 (multiplicity 1)
P: 0.021 0.733 0.158 (multiplicity 2)
P: 0.482 0.267 0.342 (multiplicity 2)
H: 0.209 0.837 0.651 (multiplicity 2)
H: 0.291 0.159 0.849 (multiplicity 2)
O: 0.034 0.119 0.739 (multiplicity 2)
O: 0.056 0.772 0.607 (multiplicity 2)
O: 0.115 0.620 0.274 (multiplicity 2)
O: 0.177 0.842 0.020 (multiplicity 2)
O: 0.187 0.426 0.941 (multiplicity 2)
O: 0.311 0.572 0.559 (multiplicity 2)
O: 0.325 0.157 0.480 (multiplicity 2)
O: 0.387 0.380 0.227 (multiplicity 2)
O: 0.443 0.223 0.895 (multiplicity 2)
O: 0.466 0.881 0.762 (multiplicity 2)

Peak list (12 most intense, 2θ = 5–70°, by angle)
h k l  2theta  I/Imax
1 0 -1  17.64  34
1 -1 1  18.50  37
1 0 1  18.75  46
0 0 2  22.35  25
0 1 -2  25.67  34
1 1 -1  25.79  29
1 -2 1  26.57  74
0 1 2  26.72  27
-1 2 1  26.83  100
2 0 0  28.96  86
0 2 -2  34.67  22
1 0 -3  36.02  36

3.
Structure and simulated powder X-ray diffraction pattern of ErCoH8C6N6O4 (a structure optimized by DFT (GGA+U); Cu Kα (weighted mean of Kα1 and Kα2)).

Crystal structure
abc: 7.307 12.741 13.605
angles: 90.00 90.00 90.00
Space group Cmcm (No. 63)
Asymmetric unit:
Er: 0.000 0.175 0.250 (multiplicity 4)
Co: 0.000 0.500 0.000 (multiplicity 4)
H: 0.000 0.084 0.601 (multiplicity 8)
H: 0.000 0.187 0.537 (multiplicity 8)
H: 0.160 0.211 0.691 (multiplicity 16)
C: 0.000 0.368 0.061 (multiplicity 8)
C: 0.182 0.453 0.587 (multiplicity 16)
N: 0.000 0.287 0.101 (multiplicity 8)
N: 0.203 0.077 0.139 (multiplicity 16)
O: 0.000 0.161 0.605 (multiplicity 8)
O: 0.236 0.226 0.750 (multiplicity 8)

Peak list (12 most intense, 2θ = 5–70°, by angle)
h k l  2theta  I/Imax
1 1 1  15.40  100
0 2 2  19.12  91
0 2 3  24.12  31
1 3 0  24.24  33
2 0 0  24.36  12
0 4 3  34.41  14
2 2 3  34.53  27
1 3 4  36.02  26
2 4 1  38.04  17
0 0 6  39.76  17
2 4 3  42.58  14
3 3 4  50.85  13

4.
Structure and simulated powder X-ray diffraction pattern of Li4Cr3Co3Sn2O16 (a structure optimized by DFT (GGA+U); Cu Kα (weighted mean of Kα1 and Kα2)).

Crystal structure
abc: 5.853 5.860 9.636
angles: 90.09 90.75 119.69
Space group P1 (No. 1)
Asymmetric unit:
Li: 0.000 0.000 0.000 (multiplicity 1)
Li: 0.005 0.999 0.499 (multiplicity 1)
Li: 0.327 0.661 0.898 (multiplicity 1)
Li: 0.655 0.328 0.396 (multiplicity 1)
Cr: 0.656 0.827 0.220 (multiplicity 1)
Cr: 0.826 0.656 0.719 (multiplicity 1)
Cr: 0.827 0.171 0.722 (multiplicity 1)
Co: 0.163 0.335 0.220 (multiplicity 1)
Co: 0.165 0.827 0.220 (multiplicity 1)
Co: 0.335 0.164 0.720 (multiplicity 1)
Sn: 0.326 0.660 0.496 (multiplicity 1)
Sn: 0.658 0.325 0.000 (multiplicity 1)
O: 0.001 0.007 0.811 (multiplicity 1)
O: 0.011 0.000 0.312 (multiplicity 1)
O: 0.027 0.514 0.332 (multiplicity 1)
O: 0.153 0.315 0.608 (multiplicity 1)
O: 0.157 0.838 0.606 (multiplicity 1)
O: 0.310 0.151 0.112 (multiplicity 1)
O: 0.311 0.657 0.117 (multiplicity 1)
O: 0.465 0.963 0.339 (multiplicity 1)
O: 0.470 0.507 0.342 (multiplicity 1)
O: 0.505 0.472 0.842 (multiplicity 1)
O: 0.508 0.027 0.839 (multiplicity 1)
O: 0.655 0.315 0.613 (multiplicity 1)
O: 0.679 0.844 0.605 (multiplicity 1)
O: 0.839 0.155 0.105 (multiplicity 1)
O: 0.845 0.681 0.107 (multiplicity 1)
O: 0.962 0.470 0.843 (multiplicity 1)

Peak list (12 most intense, 2θ = 5–70°, by angle)
h k l  2theta  I/Imax
0 0 2  18.42  36
1 0 -1  19.63  100
-1 1 1  19.78  90
1 -1 1  19.87  81
0 1 -3  32.79  38
1 -1 3  33.12  38
1 1 -2  35.50  36
-1 2 2  35.87  50
2 0 -1  36.42  34
2 -2 1  36.74  30
2 -2 5  60.56  31
4 -2 0  63.55  47

5.
Structure and simulated powder X-ray diffraction pattern of LiFe2OF5 (a structure optimized by DFT (GGA+U); Cu Kα (weighted mean of Kα1 and Kα2)).

Crystal structure
abc: 4.572 8.673 8.695
angles: 60.17 89.21 88.65
Space group P1 (No. 1)
Asymmetric unit:
Li: 0.000 0.000 0.000 (multiplicity 1)
Li: 0.007 0.671 0.667 (multiplicity 1)
Li: 0.507 0.339 0.332 (multiplicity 1)
Fe: 0.018 0.323 0.660 (multiplicity 1)
Fe: 0.020 0.636 0.030 (multiplicity 1)
Fe: 0.022 0.007 0.344 (multiplicity 1)
Fe: 0.488 0.993 0.695 (multiplicity 1)
Fe: 0.490 0.341 0.994 (multiplicity 1)
Fe: 0.490 0.692 0.346 (multiplicity 1)
O: 0.239 0.113 0.774 (multiplicity 1)
O: 0.244 0.795 0.441 (multiplicity 1)
O: 0.272 0.441 0.107 (multiplicity 1)
F: 0.241 0.770 0.123 (multiplicity 1)
F: 0.242 0.118 0.111 (multiplicity 1)
F: 0.246 0.442 0.773 (multiplicity 1)
F: 0.246 0.773 0.794 (multiplicity 1)
F: 0.270 0.457 0.445 (multiplicity 1)
F: 0.272 0.111 0.455 (multiplicity 1)
F: 0.739 0.218 0.562 (multiplicity 1)
F: 0.740 0.566 0.231 (multiplicity 1)
F: 0.748 0.220 0.216 (multiplicity 1)
F: 0.757 0.236 0.879 (multiplicity 1)
F: 0.760 0.899 0.229 (multiplicity 1)
F: 0.761 0.871 0.902 (multiplicity 1)
F: 0.765 0.906 0.562 (multiplicity 1)
F: 0.768 0.554 0.553 (multiplicity 1)
F: 0.770 0.551 0.896 (multiplicity 1)

Peak list (12 most intense, 2θ = 5–70°, by angle)
h k l  2theta  I/Imax
0 1 2  20.43  100
1 2 1  28.03  46
1 1 2  28.15  91
1 -1 1  28.49  73
-1 2 1  28.71  52
1 3 3  40.71  30
1 0 -3  40.97  30
1 -3 0  41.45  30
1 2 4  45.97  31
2 3 3  53.72  37
1 5 1  59.47  21
0 6 3  64.49  18

6.
Structure and simulated powder X-ray diffraction pattern of KNa2NiO2 (a structure optimized by DFT (GGA+U); Cu Kα (weighted mean of Kα1 and Kα2)).

Crystal structure
abc: 10.601 6.275 12.451
angles: 90.00 90.33 90.00
Space group C2/m (No. 12)
Asymmetric unit:
K: 0.187 0.000 0.128 (multiplicity 4)
K: 0.187 0.500 0.369 (multiplicity 4)
Na: 0.000 0.230 0.500 (multiplicity 4)
Na: 0.000 0.272 0.000 (multiplicity 4)
Na: 0.027 0.249 0.749 (multiplicity 8)
Ni: 0.248 0.000 0.876 (multiplicity 4)
Ni: 0.248 0.500 0.624 (multiplicity 4)
O: 0.079 0.000 0.886 (multiplicity 4)
O: 0.079 0.500 0.615 (multiplicity 4)
O: 0.082 0.000 0.364 (multiplicity 4)
O: 0.082 0.500 0.137 (multiplicity 4)

Peak list (12 most intense, 2θ = 5–70°, by angle)
h k l  2theta  I/Imax
1 1 2  21.79  61
0 2 0  28.45  35
0 0 4  28.68  33
2 2 0  33.18  81
2 0 -4  33.30  41
2 0 4  33.47  40
4 0 0  33.82  22
0 2 4  40.84  100
5 1 -2  47.49  18
5 1 2  47.65  18
0 4 0  58.87  16
0 0 8  59.38  14